No. 1
# Li2NpTlO8
Theoretical X-ray powder pattern, Cu Kα (weighted mean of Kα1 and Kα2). Input: a PBE-relaxed structure.
Neutral-atom scattering factors, no anomalous dispersion.

Crystal structure
```
data_Li2NpTlO8
_chemical_formula_sum 'Li4 Np2 Tl2 O16'
_symmetry_space_group_name_H-M 'I -4 m 2'
_symmetry_Int_Tables_number 119
_symmetry_space_group_name_Hall 'I -4 -2'
_cell_length_a 6.735
_cell_length_b 6.735
_cell_length_c 7.575
_cell_angle_alpha 90.00
_cell_angle_beta 90.00
_cell_angle_gamma 90.00
loop_
_atom_site_label
_atom_site_type_symbol
_atom_site_fract_x
_atom_site_fract_y
_atom_site_fract_z
_atom_site_occupancy
Li1 Li 0.000 0.000 0.000 1
Li2 Li 0.000 0.500 0.250 1
Np1 Np 0.000 0.500 0.750 1
Tl1 Tl 0.000 0.000 0.500 1
O1 O 0.000 0.199 0.751 1
O2 O 0.000 0.392 0.472 1
```

Top 6 peaks for 10° ≤ 2θ ≤ 80°, in order of rising 2θ:
h k l, 2theta, d [Å], I (rel.)
1 0 1, 17.62, 5.033, 100
2 0 0, 26.47, 3.368, 47
1 1 2, 30.15, 2.964, 38
2 1 1, 31.98, 2.799, 31
1 0 3, 38.06, 2.364, 18
3 1 2, 49.07, 1.856, 30

=====

No. 2
# TbPa4N7
Theoretical X-ray powder pattern, Cu Kα (weighted mean of Kα1 and Kα2). Input: a PBE-relaxed structure.
Neutral-atom scattering factors, no anomalous dispersion.

Crystal structure
```
data_TbPa4N7
_chemical_formula_sum 'Tb2 Pa8 N14'
_symmetry_space_group_name_H-M 'C 1 m 1'
_symmetry_Int_Tables_number 8
_symmetry_space_group_name_Hall 'C -2y'
_cell_length_a 11.390
_cell_length_b 3.394
_cell_length_c 9.551
_cell_angle_alpha 90.00
_cell_angle_beta 106.61
_cell_angle_gamma 90.00
loop_
_atom_site_label
_atom_site_type_symbol
_atom_site_fract_x
_atom_site_fract_y
_atom_site_fract_z
_atom_site_occupancy
Tb1 Tb 0.000 0.000 0.000 1
Pa1 Pa 0.112 0.000 0.417 1
Pa2 Pa 0.222 0.000 0.838 1
Pa3 Pa 0.305 0.500 0.224 1
Pa4 Pa 0.415 0.000 0.606 1
N1 N 0.058 0.000 0.625 1
N2 N 0.115 0.500 0.911 1
N3 N 0.165 0.000 0.214 1
N4 N 0.268 0.500 0.456 1
N5 N 0.342 0.500 0.772 1
N6 N 0.362 0.000 0.060 1
N7 N 0.457 0.000 0.378 1
```

Top 6 peaks for 10° ≤ 2θ ≤ 80°, in order of rising 2θ:
h k l, 2theta, d [Å], I (rel.)
2 0 2, 28.82, 3.098, 100
2 0 -3, 29.17, 3.062, 93
1 1 1, 30.02, 2.976, 53
4 0 -1, 31.42, 2.847, 71
1 1 -2, 32.47, 2.757, 41
0 2 0, 54.09, 1.696, 40

=====

No. 3
# SmU4P5
Theoretical X-ray powder pattern, Cu Kα (weighted mean of Kα1 and Kα2). Input: a PBE-relaxed structure.
Neutral-atom scattering factors, no anomalous dispersion.

Crystal structure
```
data_SmU4P5
_chemical_formula_sum 'Sm2 U8 P10'
_symmetry_space_group_name_H-M 'I m m m'
_symmetry_Int_Tables_number 71
_symmetry_space_group_name_Hall '-I 2 2'
_cell_length_a 3.955
_cell_length_b 5.608
_cell_length_c 19.939
_cell_angle_alpha 90.00
_cell_angle_beta 90.00
_cell_angle_gamma 90.00
loop_
_atom_site_label
_atom_site_type_symbol
_atom_site_fract_x
_atom_site_fract_y
_atom_site_fract_z
_atom_site_occupancy
Sm1 Sm 0.000 0.000 0.000 1
U1 U 0.000 0.000 0.202 1
U2 U 0.000 0.000 0.400 1
P1 P 0.000 0.500 0.000 1
P2 P 0.000 0.500 0.199 1
P3 P 0.000 0.500 0.395 1
```

Top 6 peaks for 10° ≤ 2θ ≤ 80°, in order of rising 2θ:
h k l, 2theta, d [Å], I (rel.)
0 1 5, 27.44, 3.250, 53
1 1 0, 27.60, 3.232, 53
0 2 0, 31.88, 2.807, 100
1 2 5, 45.73, 1.984, 49
1 1 10, 54.04, 1.697, 18
1 4 5, 75.81, 1.255, 23

=====

No. 4
# Ac2CdGa4Ir3
Theoretical X-ray powder pattern, Cu Kα (weighted mean of Kα1 and Kα2). Input: a PBE-relaxed structure.
Neutral-atom scattering factors, no anomalous dispersion.

Crystal structure
```
data_Ac2CdGa4Ir3
_chemical_formula_sum 'Ac2 Cd1 Ga4 Ir3'
_symmetry_space_group_name_H-M 'P -4 m 2'
_symmetry_Int_Tables_number 115
_symmetry_space_group_name_Hall 'P -4 -2'
_cell_length_a 4.382
_cell_length_b 4.382
_cell_length_c 10.911
_cell_angle_alpha 90.00
_cell_angle_beta 90.00
_cell_angle_gamma 90.00
loop_
_atom_site_label
_atom_site_type_symbol
_atom_site_fract_x
_atom_site_fract_y
_atom_site_fract_z
_atom_site_occupancy
Ac1 Ac 0.000 0.500 0.239 1
Cd1 Cd 0.000 0.000 0.500 1
Ga1 Ga 0.000 0.000 0.000 1
Ga2 Ga 0.000 0.500 0.638 1
Ga3 Ga 0.500 0.500 0.000 1
Ir1 Ir 0.000 0.500 0.874 1
Ir2 Ir 0.500 0.500 0.500 1
```

Top 6 peaks for 10° ≤ 2θ ≤ 80°, in order of rising 2θ:
h k l, 2theta, d [Å], I (rel.)
1 0 3, 31.98, 2.799, 79
1 1 2, 33.25, 2.694, 100
2 0 0, 41.20, 2.191, 67
1 0 5, 46.49, 1.953, 33
2 1 3, 53.09, 1.725, 39
2 1 5, 63.84, 1.458, 26

=====

No. 5
# MgAl2Ga9
Theoretical X-ray powder pattern, Cu Kα (weighted mean of Kα1 and Kα2). Input: a PBE-relaxed structure.
Neutral-atom scattering factors, no anomalous dispersion.

Crystal structure
```
data_MgAl2Ga9
_chemical_formula_sum 'Mg1 Al2 Ga9'
_symmetry_space_group_name_H-M 'P 6/m m m'
_symmetry_Int_Tables_number 191
_symmetry_space_group_name_Hall '-P 6 2'
_cell_length_a 9.2858
_cell_length_b 9.2858
_cell_length_c 3.0227
_cell_angle_alpha 90.00
_cell_angle_beta 90.00
_cell_angle_gamma 120.00
loop_
_atom_site_label
_atom_site_type_symbol
_atom_site_fract_x
_atom_site_fract_y
_atom_site_fract_z
_atom_site_occupancy
Mg1 Mg 0.0000 0.0000 0.0000 1
Al1 Al 0.3333 0.6667 0.0000 1
Ga1 Ga 0.0000 0.5000 0.0000 1
Ga2 Ga 0.1775 0.3550 0.5000 1
```

Top 6 peaks for 10° ≤ 2θ ≤ 80°, in order of rising 2θ:
h k l, 2theta, d [Å], I (rel.)
2 0 1, 37.21, 2.416, 83
2 2 0, 38.79, 2.321, 100
2 1 1, 42.16, 2.143, 28
4 0 1, 54.84, 1.674, 24
4 2 1, 69.19, 1.358, 23
2 2 2, 74.99, 1.267, 27

=====

No. 6
# Li2CdMo
Theoretical X-ray powder pattern, Cu Kα (weighted mean of Kα1 and Kα2). Input: a PBE-relaxed structure.
Neutral-atom scattering factors, no anomalous dispersion.

Crystal structure
```
data_Li2CdMo
_chemical_formula_sum 'Li2 Cd1 Mo1'
_symmetry_space_group_name_H-M 'P m m m'
_symmetry_Int_Tables_number 47
_symmetry_space_group_name_Hall '-P 2 2'
_cell_length_a 2.660
_cell_length_b 5.005
_cell_length_c 5.148
_cell_angle_alpha 90.00
_cell_angle_beta 90.00
_cell_angle_gamma 90.00
loop_
_atom_site_label
_atom_site_type_symbol
_atom_site_fract_x
_atom_site_fract_y
_atom_site_fract_z
_atom_site_occupancy
Li1 Li 0.000 0.000 0.000 1
Li2 Li 0.500 0.000 0.500 1
Cd1 Cd 0.000 0.500 0.500 1
Mo1 Mo 0.500 0.500 0.000 1
```

Top 6 peaks for 10° ≤ 2θ ≤ 80°, in order of rising 2θ:
h k l, 2theta, d [Å], I (rel.)
0 1 0, 17.72, 5.005, 100
0 0 2, 34.85, 2.574, 22
1 0 1, 38.08, 2.363, 29
0 1 2, 39.36, 2.289, 26
1 1 1, 42.29, 2.137, 52
1 2 1, 53.32, 1.718, 21

=====

No. 7
# RbLi2Pu2Br7
Theoretical X-ray powder pattern, Cu Kα (weighted mean of Kα1 and Kα2). Input: a PBE-relaxed structure.
Neutral-atom scattering factors, no anomalous dispersion.

Crystal structure
```
data_RbLi2Pu2Br7
_chemical_formula_sum 'Rb2 Li4 Pu4 Br14'
_symmetry_space_group_name_H-M 'I m m 2'
_symmetry_Int_Tables_number 44
_symmetry_space_group_name_Hall 'I 2 -2'
_cell_length_a 5.865
_cell_length_b 23.207
_cell_length_c 5.866
_cell_angle_alpha 90.00
_cell_angle_beta 90.00
_cell_angle_gamma 90.00
loop_
_atom_site_label
_atom_site_type_symbol
_atom_site_fract_x
_atom_site_fract_y
_atom_site_fract_z
_atom_site_occupancy
Rb1 Rb 0.000 0.000 0.000 1
Li1 Li 0.000 0.250 0.496 1
Pu1 Pu 0.000 0.372 0.996 1
Br1 Br 0.000 0.128 0.496 1
Br2 Br 0.000 0.246 0.996 1
Br3 Br 0.000 0.372 0.496 1
Br4 Br 0.000 0.500 0.994 1
```

Top 6 peaks for 10° ≤ 2θ ≤ 80°, in order of rising 2θ:
h k l, 2theta, d [Å], I (rel.)
0 4 0, 15.27, 5.802, 39
0 1 1, 15.58, 5.687, 74
1 3 0, 18.99, 4.674, 54
2 0 0, 30.48, 2.933, 100
0 8 0, 30.82, 2.901, 48
2 8 0, 43.90, 2.062, 72

=====

No. 8
# Ca3PdAu2
Theoretical X-ray powder pattern, Cu Kα (weighted mean of Kα1 and Kα2). Input: a PBE-relaxed structure.
Neutral-atom scattering factors, no anomalous dispersion.

Crystal structure
```
data_Ca3PdAu2
_chemical_formula_sum 'Ca3 Pd1 Au2'
_symmetry_space_group_name_H-M 'P 4/m m m'
_symmetry_Int_Tables_number 123
_symmetry_space_group_name_Hall '-P 4 2'
_cell_length_a 3.629
_cell_length_b 3.629
_cell_length_c 10.675
_cell_angle_alpha 90.00
_cell_angle_beta 90.00
_cell_angle_gamma 90.00
loop_
_atom_site_label
_atom_site_type_symbol
_atom_site_fract_x
_atom_site_fract_y
_atom_site_fract_z
_atom_site_occupancy
Ca1 Ca 0.000 0.000 0.000 1
Ca2 Ca 0.000 0.000 0.339 1
Pd1 Pd 0.500 0.500 0.500 1
Au1 Au 0.500 0.500 0.171 1
```

Top 6 peaks for 10° ≤ 2θ ≤ 80°, in order of rising 2θ:
h k l, 2theta, d [Å], I (rel.)
1 0 0, 24.53, 3.629, 44
0 0 3, 25.03, 3.558, 21
1 1 0, 34.97, 2.566, 52
1 0 3, 35.33, 2.541, 100
1 1 3, 43.48, 2.081, 21
2 1 3, 62.95, 1.477, 36

=====

No. 9
# Ca3InP
Theoretical X-ray powder pattern, Cu Kα (weighted mean of Kα1 and Kα2). Input: a PBE-relaxed structure.
Neutral-atom scattering factors, no anomalous dispersion.

Crystal structure
```
data_Ca3InP
_chemical_formula_sum 'Ca6 In2 P2'
_symmetry_space_group_name_H-M 'P -1'
_symmetry_Int_Tables_number 2
_symmetry_space_group_name_Hall '-P 1'
_cell_length_a 5.688
_cell_length_b 6.962
_cell_length_c 9.065
_cell_angle_alpha 71.56
_cell_angle_beta 90.00
_cell_angle_gamma 66.04
loop_
_atom_site_label
_atom_site_type_symbol
_atom_site_fract_x
_atom_site_fract_y
_atom_site_fract_z
_atom_site_occupancy
Ca1 Ca 0.097 0.306 0.219 1
Ca2 Ca 0.170 0.162 0.646 1
Ca3 Ca 0.366 0.766 0.100 1
In1 In 0.399 0.699 0.554 1
P1 P 0.135 0.231 0.933 1
```

Top 6 peaks for 10° ≤ 2θ ≤ 80°, in order of rising 2θ:
h k l, 2theta, d [Å], I (rel.)
0 0 1, 10.40, 8.505, 46
1 1 -1, 21.51, 4.132, 48
1 0 2, 29.19, 3.059, 100
0 2 0, 29.93, 2.985, 57
2 1 0, 31.45, 2.844, 73
-1 1 3, 35.58, 2.523, 50